# 1
Diffraction record for Lu2Hf4Ni3N3. The powder diffraction line list is calculated, not measured: it uses the PBE geometry in OQMD and Cu Kα (λ = 1.5418 Å).
Neutral-atom scattering factors, no anomalous dispersion.

Atomic structure:
```
data_Lu2Hf4Ni3N3
_chemical_formula_sum 'Lu8 Hf16 Ni12 N12'
_cell_length_a 9.561
_cell_length_b 5.523
_cell_length_c 13.835
_cell_angle_alpha 90.00
_cell_angle_beta 103.75
_cell_angle_gamma 90.00
_space_group_name_H-M_alt 'C 1 2/c 1'
_space_group_IT_number 15
_space_group_name_Hall '-C 2yc'
loop_
_atom_site_label
_atom_site_type_symbol
_atom_site_fract_x
_atom_site_fract_y
_atom_site_fract_z
Lu1 Lu 0.041 0.083 0.380
Hf1 Hf 0.114 0.410 0.592
Hf2 Hf 0.222 0.418 0.908
Ni1 Ni 0.000 0.428 0.750
Ni2 Ni 0.243 0.158 0.750
N1 N 0.084 0.252 0.000
N2 N 0.250 0.250 0.500
```

Principal peaks in the range 5° ≤ 2θ ≤ 70°, by angle:
| d (Å) | Rel. int. | h k l |
| --- | --- | --- |
| 3.360 | 440 | 0 0 4 |
| 2.761 | 529 | 3 1 -1 |
| 2.704 | 1000 | 0 2 1 |
| 2.357 | 843 | 3 1 -4 |
| 2.351 | 854 | 0 2 3 |
| 2.343 | 806 | 3 1 2 |
| 2.239 | 417 | 0 0 6 |
| 2.127 | 233 | 3 1 3 |
| 1.594 | 489 | 6 0 -2 |
| 1.443 | 249 | 6 0 -6 |

=====

# 2
Diffraction record for Rb2LiAgF6. The powder diffraction line list is calculated, not measured: it uses the PBE geometry in OQMD and Cu Kα (λ = 1.5418 Å).
Neutral-atom scattering factors, no anomalous dispersion.

Atomic structure:
```
data_Rb2LiAgF6
_chemical_formula_sum 'Rb4 Li2 Ag2 F12'
_cell_length_a 5.768
_cell_length_b 5.771
_cell_length_c 8.173
_cell_angle_alpha 90.02
_cell_angle_beta 90.00
_cell_angle_gamma 90.04
_space_group_name_H-M_alt 'P -1'
_space_group_IT_number 2
_space_group_name_Hall '-P 1'
loop_
_atom_site_label
_atom_site_type_symbol
_atom_site_fract_x
_atom_site_fract_y
_atom_site_fract_z
Rb1 Rb 0.000 0.000 0.250
Rb2 Rb 0.500 0.500 0.250
Li1 Li 0.000 0.500 0.000
Li2 Li 0.500 0.000 0.500
Ag1 Ag 0.000 0.500 0.500
Ag2 Ag 0.500 0.000 0.000
F1 F 0.001 0.500 0.243
F2 F 0.239 0.747 0.999
F3 F 0.247 0.260 0.000
F4 F 0.255 0.241 0.500
F5 F 0.260 0.755 0.501
F6 F 0.499 0.000 0.256
```

Principal peaks in the range 5° ≤ 2θ ≤ 70°, by angle:
| d (Å) | Rel. int. | h k l |
| --- | --- | --- |
| 4.713 | 376 | 0 1 1 |
| 2.886 | 1000 | 2 0 0 |
| 2.462 | 242 | 2 1 1 |
| 2.357 | 176 | 2 0 2 |
| 2.041 | 466 | 2 2 0 |
| 1.873 | 115 | 2 1 -3 |
| 1.666 | 389 | 3 -1 2 |
| 1.572 | 53 | 3 0 3 |
| 1.443 | 273 | 4 0 0 |
| 1.380 | 51 | 1 4 -1 |

=====

# 3
Diffraction record for KDySeO. The powder diffraction line list is calculated, not measured: it uses the PBE geometry in OQMD and Cu Kα (λ = 1.5418 Å).
Neutral-atom scattering factors, no anomalous dispersion.

Atomic structure:
```
data_KDySeO
_chemical_formula_sum 'K4 Dy4 Se4 O4'
_cell_length_a 5.792
_cell_length_b 5.788
_cell_length_c 11.470
_cell_angle_alpha 90.00
_cell_angle_beta 103.46
_cell_angle_gamma 90.00
_space_group_name_H-M_alt 'C 1 2 1'
_space_group_IT_number 5
_space_group_name_Hall 'C 2y'
loop_
_atom_site_label
_atom_site_type_symbol
_atom_site_fract_x
_atom_site_fract_y
_atom_site_fract_z
K1 K 0.208 0.000 0.397
Dy1 Dy 0.206 0.279 0.909
Se1 Se 0.160 0.499 0.285
O1 O 0.000 0.031 0.000
O2 O 0.000 0.533 0.000
```

Principal peaks in the range 5° ≤ 2θ ≤ 70°, by angle:
| d (Å) | Rel. int. | h k l |
| --- | --- | --- |
| 11.155 | 1000 | 0 0 1 |
| 3.608 | 233 | 1 1 1 |
| 3.565 | 274 | 1 1 -2 |
| 3.038 | 258 | 1 1 2 |
| 2.995 | 339 | 1 1 -3 |
| 2.816 | 151 | 2 0 0 |
| 2.801 | 230 | 0 2 1 |
| 2.533 | 253 | 1 1 3 |
| 2.497 | 166 | 1 1 -4 |
| 2.047 | 282 | 2 2 -1 |

=====

# 4
Diffraction record for CuAg4. The powder diffraction line list is calculated, not measured: it uses the PBE geometry in OQMD and Cu Kα (λ = 1.5418 Å).
Neutral-atom scattering factors, no anomalous dispersion.

Atomic structure:
```
data_CuAg4
_chemical_formula_sum 'Cu6 Ag24'
_cell_length_a 2.9214
_cell_length_b 2.9214
_cell_length_c 68.7464
_cell_angle_alpha 90.00
_cell_angle_beta 90.00
_cell_angle_gamma 120.00
_space_group_name_H-M_alt 'R -3 m'
_space_group_IT_number 166
_space_group_name_Hall '-R 3 2"'
loop_
_atom_site_label
_atom_site_type_symbol
_atom_site_fract_x
_atom_site_fract_y
_atom_site_fract_z
Cu1 Cu 0.0000 0.0000 0.1978
Ag1 Ag 0.0000 0.0000 0.0000
Ag2 Ag 0.0000 0.0000 0.1046
Ag3 Ag 0.0000 0.0000 0.2985
Ag4 Ag 0.0000 0.0000 0.4030
Ag5 Ag 0.0000 0.0000 0.5000
```

Principal peaks in the range 5° ≤ 2θ ≤ 70°, by angle:
| d (Å) | Rel. int. | h k l |
| --- | --- | --- |
| 2.546 | 63 | 0 0 27 |
| 2.450 | 26 | 1 0 7 |
| 2.374 | 1000 | 1 0 10 |
| 2.292 | 233 | 0 0 30 |
| 2.145 | 57 | 0 1 17 |
| 2.038 | 569 | 0 1 20 |
| 1.931 | 20 | 0 1 23 |
| 1.498 | 54 | 1 0 37 |
| 1.461 | 207 | 1 1 0 |
| 1.422 | 113 | 1 0 40 |

=====

# 5
Diffraction record for PrAlAg2Ge. The powder diffraction line list is calculated, not measured: it uses the PBE geometry in OQMD and Cu Kα (λ = 1.5418 Å).
Neutral-atom scattering factors, no anomalous dispersion.

Atomic structure:
```
data_PrAlAg2Ge
_chemical_formula_sum 'Pr2 Al2 Ag4 Ge2'
_cell_length_a 4.358
_cell_length_b 4.358
_cell_length_c 11.069
_cell_angle_alpha 90.00
_cell_angle_beta 90.00
_cell_angle_gamma 90.00
_space_group_name_H-M_alt 'I 4 m m'
_space_group_IT_number 107
_space_group_name_Hall 'I 4 -2'
loop_
_atom_site_label
_atom_site_type_symbol
_atom_site_fract_x
_atom_site_fract_y
_atom_site_fract_z
Pr1 Pr 0.000 0.000 0.000
Al1 Al 0.000 0.000 0.379
Ag1 Ag 0.000 0.500 0.248
Ge1 Ge 0.000 0.000 0.603
```

Principal peaks in the range 5° ≤ 2θ ≤ 70°, by angle:
| d (Å) | Rel. int. | h k l |
| --- | --- | --- |
| 2.816 | 277 | 1 0 3 |
| 2.767 | 135 | 0 0 4 |
| 2.692 | 1000 | 1 1 2 |
| 2.179 | 390 | 2 0 0 |
| 1.974 | 150 | 1 0 5 |
| 1.723 | 128 | 2 1 3 |
| 1.712 | 125 | 2 0 4 |
| 1.583 | 120 | 1 1 6 |
| 1.541 | 126 | 2 2 0 |
| 1.463 | 112 | 2 1 5 |

=====

# 6
Diffraction record for TePd10. The powder diffraction line list is calculated, not measured: it uses the PBE geometry in OQMD and Cu Kα (λ = 1.5418 Å).
Neutral-atom scattering factors, no anomalous dispersion.

Atomic structure:
```
data_TePd10
_chemical_formula_sum 'Te4 Pd40'
_cell_length_a 8.701
_cell_length_b 3.951
_cell_length_c 30.636
_cell_angle_alpha 90.00
_cell_angle_beta 90.45
_cell_angle_gamma 90.00
_space_group_name_H-M_alt 'C 1 2/m 1'
_space_group_IT_number 12
_space_group_name_Hall '-C 2y'
loop_
_atom_site_label
_atom_site_type_symbol
_atom_site_fract_x
_atom_site_fract_y
_atom_site_fract_z
Te1 Te 0.156 0.000 0.200
Pd1 Pd 0.047 0.000 0.688
Pd2 Pd 0.049 0.500 0.543
Pd3 Pd 0.050 0.000 0.399
Pd4 Pd 0.051 0.500 0.252
Pd5 Pd 0.146 0.000 0.780
Pd6 Pd 0.149 0.500 0.630
Pd7 Pd 0.150 0.000 0.485
Pd8 Pd 0.152 0.500 0.342
Pd9 Pd 0.246 0.500 0.716
Pd10 Pd 0.249 0.000 0.572
```

Principal peaks in the range 5° ≤ 2θ ≤ 70°, by angle:
| d (Å) | Rel. int. | h k l |
| --- | --- | --- |
| 15.317 | 1000 | 0 0 2 |
| 2.329 | 519 | 1 1 10 |
| 2.282 | 476 | 3 1 -3 |
| 2.240 | 350 | 3 1 -4 |
| 2.199 | 309 | 1 1 11 |
| 1.975 | 196 | 0 2 0 |
| 1.961 | 190 | 2 0 -14 |
| 1.942 | 183 | 4 0 7 |
| 1.392 | 113 | 2 2 -14 |
| 1.385 | 119 | 4 2 7 |

=====

# 7
Diffraction record for RbAg5S3. The powder diffraction line list is calculated, not measured: it uses the PBE geometry in OQMD and Cu Kα (λ = 1.5418 Å).
Neutral-atom scattering factors, no anomalous dispersion.

Atomic structure:
```
data_RbAg5S3
_chemical_formula_sum 'Rb6 Ag30 S18'
_cell_length_a 13.6500
_cell_length_b 13.6500
_cell_length_c 8.1503
_cell_angle_alpha 90.00
_cell_angle_beta 90.00
_cell_angle_gamma 120.00
_space_group_name_H-M_alt 'P -6 2 c'
_space_group_IT_number 190
_space_group_name_Hall 'P -6c -2c'
loop_
_atom_site_label
_atom_site_type_symbol
_atom_site_fract_x
_atom_site_fract_y
_atom_site_fract_z
Rb1 Rb 0.0000 0.0000 0.0000
Rb2 Rb 0.3333 0.6667 0.0012
Ag1 Ag 0.0000 0.5366 0.0000
Ag2 Ag 0.0018 0.3684 0.7500
Ag3 Ag 0.0053 0.7081 0.7500
Ag4 Ag 0.1482 0.3327 0.0005
S1 S 0.0871 0.2239 0.2500
S2 S 0.1088 0.5800 0.2500
S3 S 0.2202 0.4398 0.7500
```

Principal peaks in the range 5° ≤ 2θ ≤ 70°, by angle:
| d (Å) | Rel. int. | h k l |
| --- | --- | --- |
| 6.825 | 423 | 1 1 0 |
| 3.940 | 125 | 3 0 0 |
| 3.412 | 396 | 2 2 0 |
| 3.011 | 150 | 2 1 2 |
| 2.616 | 1000 | 2 2 2 |
| 2.554 | 216 | 3 1 2 |
| 2.123 | 152 | 5 1 0 |
| 2.038 | 188 | 0 0 4 |
| 1.986 | 126 | 3 3 2 |
| 1.970 | 142 | 6 0 0 |

=====

# 8
Diffraction record for PrSm3Se7. The powder diffraction line list is calculated, not measured: it uses the PBE geometry in OQMD and Cu Kα (λ = 1.5418 Å).
Neutral-atom scattering factors, no anomalous dispersion.

Atomic structure:
```
data_PrSm3Se7
_chemical_formula_sum 'Pr2 Sm6 Se14'
_cell_length_a 10.663
_cell_length_b 4.314
_cell_length_c 13.758
_cell_angle_alpha 90.00
_cell_angle_beta 90.00
_cell_angle_gamma 90.00
_space_group_name_H-M_alt 'A m m 2'
_space_group_IT_number 38
_space_group_name_Hall 'A 2 -2'
loop_
_atom_site_label
_atom_site_type_symbol
_atom_site_fract_x
_atom_site_fract_y
_atom_site_fract_z
Pr1 Pr 0.000 0.000 0.000
Sm1 Sm 0.257 0.000 0.718
Sm2 Sm 0.500 0.000 0.997
Se1 Se 0.000 0.000 0.647
Se2 Se 0.116 0.000 0.356
Se3 Se 0.253 0.000 0.079
Se4 Se 0.500 0.000 0.348
Se5 Se 0.500 0.000 0.636
```

Principal peaks in the range 5° ≤ 2θ ≤ 70°, by angle:
| d (Å) | Rel. int. | h k l |
| --- | --- | --- |
| 4.214 | 496 | 2 0 2 |
| 3.142 | 1000 | 0 1 3 |
| 2.707 | 504 | 2 1 3 |
| 2.666 | 252 | 4 0 0 |
| 2.238 | 236 | 4 1 1 |
| 2.157 | 263 | 0 2 0 |
| 2.127 | 391 | 2 1 5 |
| 2.107 | 315 | 2 0 6 |
| 2.033 | 265 | 4 1 3 |
| 1.507 | 216 | 2 2 6 |

=====

# 9
Diffraction record for Ho4CBr3F2. The powder diffraction line list is calculated, not measured: it uses the PBE geometry in OQMD and Cu Kα (λ = 1.5418 Å).
Neutral-atom scattering factors, no anomalous dispersion.

Atomic structure:
```
data_Ho4CBr3F2
_chemical_formula_sum 'Ho8 C2 Br6 F4'
_cell_length_a 15.400
_cell_length_b 3.687
_cell_length_c 8.076
_cell_angle_alpha 90.00
_cell_angle_beta 103.50
_cell_angle_gamma 90.00
_space_group_name_H-M_alt 'C 1 2/m 1'
_space_group_IT_number 12
_space_group_name_Hall '-C 2y'
loop_
_atom_site_label
_atom_site_type_symbol
_atom_site_fract_x
_atom_site_fract_y
_atom_site_fract_z
Ho1 Ho 0.006 0.000 0.302
Ho2 Ho 0.156 0.500 0.570
C1 C 0.000 0.500 0.500
Br1 Br 0.000 0.500 0.000
Br2 Br 0.184 0.000 0.835
F1 F 0.178 0.000 0.404
```

Principal peaks in the range 5° ≤ 2θ ≤ 70°, by angle:
| d (Å) | Rel. int. | h k l |
| --- | --- | --- |
| 7.852 | 617 | 0 0 1 |
| 3.736 | 331 | 4 0 -1 |
| 2.911 | 256 | 3 1 -1 |
| 2.722 | 1000 | 1 1 -2 |
| 2.655 | 460 | 3 1 1 |
| 2.496 | 392 | 6 0 0 |
| 2.309 | 235 | 2 0 3 |
| 1.858 | 235 | 5 1 2 |
| 1.843 | 205 | 0 2 0 |
| 1.822 | 293 | 7 1 -2 |

=====

# 10
Diffraction record for Zn3Pb5O12. The powder diffraction line list is calculated, not measured: it uses the PBE geometry in OQMD and Cu Kα (λ = 1.5418 Å).
Neutral-atom scattering factors, no anomalous dispersion.

Atomic structure:
```
data_Zn3Pb5O12
_chemical_formula_sum 'Zn6 Pb10 O24'
_cell_length_a 8.049
_cell_length_b 8.049
_cell_length_c 8.049
_cell_angle_alpha 90.00
_cell_angle_beta 90.00
_cell_angle_gamma 90.00
_space_group_name_H-M_alt 'I m -3'
_space_group_IT_number 204
_space_group_name_Hall '-I 2 2 3'
loop_
_atom_site_label
_atom_site_type_symbol
_atom_site_fract_x
_atom_site_fract_y
_atom_site_fract_z
Zn1 Zn 0.000 0.000 0.500
Pb1 Pb 0.000 0.000 0.000
Pb2 Pb 0.250 0.250 0.250
O1 O 0.000 0.170 0.315
```

Principal peaks in the range 5° ≤ 2θ ≤ 70°, by angle:
| d (Å) | Rel. int. | h k l |
| --- | --- | --- |
| 5.692 | 56 | 1 1 0 |
| 4.025 | 144 | 2 0 0 |
| 2.846 | 1000 | 2 2 0 |
| 2.545 | 37 | 3 1 0 |
| 2.324 | 30 | 2 2 2 |
| 2.151 | 39 | 3 2 1 |
| 2.012 | 219 | 4 0 0 |
| 1.800 | 77 | 4 0 2 |
| 1.643 | 467 | 4 2 2 |
| 1.423 | 132 | 4 4 0 |

=====

# 11
Diffraction record for KFeCoSe3. The powder diffraction line list is calculated, not measured: it uses the PBE geometry in OQMD and Cu Kα (λ = 1.5418 Å).
Neutral-atom scattering factors, no anomalous dispersion.

Atomic structure:
```
data_KFeCoSe3
_chemical_formula_sum 'K4 Fe4 Co4 Se12'
_cell_length_a 14.925
_cell_length_b 3.598
_cell_length_c 9.344
_cell_angle_alpha 90.00
_cell_angle_beta 90.00
_cell_angle_gamma 90.00
_space_group_name_H-M_alt 'P n m a'
_space_group_IT_number 62
_space_group_name_Hall '-P 2ac 2n'
loop_
_atom_site_label
_atom_site_type_symbol
_atom_site_fract_x
_atom_site_fract_y
_atom_site_fract_z
K1 K 0.241 0.250 0.051
Fe1 Fe 0.013 0.250 0.323
Co1 Co 0.011 0.750 0.098
Se1 Se 0.074 0.250 0.569
Se2 Se 0.086 0.750 0.875
Se3 Se 0.119 0.750 0.269
```

Principal peaks in the range 5° ≤ 2θ ≤ 70°, by angle:
| d (Å) | Rel. int. | h k l |
| --- | --- | --- |
| 7.462 | 1000 | 2 0 0 |
| 2.874 | 210 | 2 0 3 |
| 2.783 | 384 | 3 1 1 |
| 2.663 | 142 | 2 1 2 |
| 2.473 | 111 | 3 1 2 |
| 2.246 | 91 | 2 1 3 |
| 2.230 | 80 | 2 0 4 |
| 2.062 | 250 | 5 1 2 |
| 1.799 | 137 | 0 2 0 |
| 1.708 | 154 | 7 1 2 |